The following is a theoretical powder diffraction line list of MgU8Se17. It was derived from a structure optimized by DFT (GGA-PBE), using Cu Kα (λ = 1.5418 Å).
Lines closer than 0.1° are merged.

Structure:
abc: 8.252 8.252 10.988
angles: 100.15 100.15 64.05
Fractional coordinates of all 26 atoms:
Mg 0.000 0.000 0.000
U 0.182 0.697 0.300
U 0.201 0.201 0.460
U 0.303 0.818 0.700
U 0.320 0.320 0.989
U 0.680 0.680 0.011
U 0.697 0.182 0.300
U 0.799 0.799 0.540
U 0.818 0.303 0.700
Se 0.000 0.000 0.500
Se 0.056 0.671 0.036
Se 0.059 0.059 0.234
Se 0.181 0.565 0.535
Se 0.214 0.214 0.723
Se 0.300 0.300 0.248
Se 0.329 0.944 0.964
Se 0.435 0.819 0.465
Se 0.479 0.479 0.829
Se 0.521 0.521 0.171
Se 0.565 0.181 0.535
Se 0.671 0.056 0.036
Se 0.700 0.700 0.752
Se 0.786 0.786 0.277
Se 0.819 0.435 0.465
Se 0.941 0.941 0.766
Se 0.944 0.329 0.964

Top 10 peaks for 5° ≤ 2θ ≤ 70°, in order of rising 2θ:
2theta	d_spacing	I (rel.)
13.81	6.412	69
18.75	4.731	57
24.14	3.687	100
24.63	3.614	73
32.86	2.726	97
33.21	2.698	77
35.64	2.519	58
36.58	2.457	67
38.37	2.346	85
41.27	2.188	83